Entry 1:
The following is a calculated powder diffractogram of TiAgH2W. It was derived from a structure optimized by DFT (PBE), using Cu Kα X-rays.
Peak positions follow from Bragg's law for the DFT cell and can differ from measured ones.

Main lines, sorted by position (2θ = 15–90°):
- d = 3.629 Å, I = 100
- d = 2.975 Å, I = 27
- d = 2.597 Å, I = 41
- d = 2.566 Å, I = 77
- d = 2.112 Å, I = 47
- d = 1.825 Å, I = 55
- d = 1.815 Å, I = 28
- d = 1.623 Å, I = 20
- d = 1.488 Å, I = 28
- d = 1.376 Å, I = 24

Cell lengths 3.6295, 3.6295, 5.1942 Å; angles 90.00, 90.00, 90.00 degrees
Space group P4/mmm (No. 123)
One atom of each set of equivalent atoms:
Ti 0.0000 0.0000 0.0000
Ag 0.5000 0.5000 0.0000
H 0.0000 0.5000 0.5000
W 0.5000 0.5000 0.5000


Entry 2:
The following is a calculated powder diffractogram of Er3Sc8. It was derived from a structure optimized by DFT (PBE), using Cu Kα X-rays.
Peak positions follow from Bragg's law for the DFT cell and can differ from measured ones.

Main lines, sorted by position (2θ = 15–90°):
- d = 5.077 Å, I = 37
- d = 3.625 Å, I = 61
- d = 3.371 Å, I = 61
- d = 2.656 Å, I = 31
- d = 2.645 Å, I = 100
- d = 2.616 Å, I = 25
- d = 2.591 Å, I = 25
- d = 2.538 Å, I = 41
- d = 2.494 Å, I = 25
- d = 2.372 Å, I = 23

Cell lengths 9.3843, 12.3969, 5.9329 Å; angles 90.00, 121.17, 90.00 degrees
Space group C2/m (No. 12)
One atom of each set of equivalent atoms:
Er 0.0000 0.0000 0.0000
Er 0.2500 0.2500 0.0000
Sc 0.0000 0.1220 0.5000
Sc 0.1438 0.3679 0.4403
Sc 0.1670 0.5000 0.9970


Entry 3:
The following is a calculated powder diffractogram of La3PaN4. It was derived from a structure optimized by DFT (PBE), using Cu Kα X-rays.
Peak positions follow from Bragg's law for the DFT cell and can differ from measured ones.

Main lines, sorted by position (2θ = 15–90°):
- d = 4.648 Å, I = 7
- d = 3.003 Å, I = 100
- d = 2.612 Å, I = 24
- d = 2.595 Å, I = 48
- d = 1.841 Å, I = 33
- d = 1.835 Å, I = 17
- d = 1.573 Å, I = 16
- d = 1.566 Å, I = 31
- d = 1.501 Å, I = 17
- d = 1.194 Å, I = 13

Cell lengths 5.1894, 5.1894, 10.4479 Å; angles 90.00, 90.00, 90.00 degrees
Space group I4/mmm (No. 139)
One atom of each set of equivalent atoms:
La 0.0000 0.0000 0.0000
La 0.0000 0.5000 0.2500
Pa 0.0000 0.0000 0.5000
N 0.0000 0.0000 0.2860
N 0.0000 0.5000 0.0000


Entry 4:
The following is a calculated powder diffractogram of NiOs2Se. It was derived from a structure optimized by DFT (PBE), using Cu Kα X-rays.
Peak positions follow from Bragg's law for the DFT cell and can differ from measured ones.

Main lines, sorted by position (2θ = 15–90°):
- d = 2.649 Å, I = 17
- d = 2.212 Å, I = 100
- d = 2.025 Å, I = 39
- d = 1.944 Å, I = 7
- d = 1.804 Å, I = 6
- d = 1.742 Å, I = 11
- d = 1.432 Å, I = 13
- d = 1.320 Å, I = 18
- d = 1.202 Å, I = 28
- d = 1.106 Å, I = 11

Cell lengths 2.8637, 2.8637, 6.9664 Å; angles 90.00, 90.00, 90.00 degrees
Space group P4mm (No. 99)
One atom of each set of equivalent atoms:
Ni 0.0000 0.0000 0.0000
Os 0.0000 0.0000 0.5001
Os 0.5000 0.5000 0.2608
Se 0.5000 0.5000 0.7791


Entry 5:
The following is a calculated powder diffractogram of Pm2Sm9Y3. It was derived from a structure optimized by DFT (PBE), using Cu Kα X-rays.
Peak positions follow from Bragg's law for the DFT cell and can differ from measured ones.

Main lines, sorted by position (2θ = 15–90°):
- d = 4.956 Å, I = 15
- d = 2.869 Å, I = 57
- d = 2.858 Å, I = 100
- d = 2.795 Å, I = 21
- d = 2.786 Å, I = 39
- d = 2.760 Å, I = 54
- d = 2.745 Å, I = 14
- d = 2.721 Å, I = 21
- d = 2.002 Å, I = 16
- d = 1.654 Å, I = 20

Cell lengths 16.4784, 5.7371, 10.5025 Å; angles 90.00, 107.19, 90.00 degrees
Space group Cm (No. 8)
One atom of each set of equivalent atoms:
Pm 0.0000 0.0000 0.0000
Pm 0.0350 0.0000 0.3581
Sm 0.0839 0.5000 0.2021
Sm 0.1160 0.5000 0.5547
Sm 0.1496 0.5000 0.9126
Sm 0.2074 0.0000 0.2069
Sm 0.2375 0.0000 0.5729
Sm 0.3206 0.5000 0.7680
Sm 0.3299 0.5000 0.1423
Sm 0.4132 0.0000 0.3352
Sm 0.4430 0.0000 0.7054
Y 0.0673 0.0000 0.7100
Y 0.3167 0.0000 0.9486
Y 0.3275 0.5000 0.4569


Entry 6:
The following is a calculated powder diffractogram of Sm5TmPb5. It was derived from a structure optimized by DFT (PBE), using Cu Kα X-rays.
Peak positions follow from Bragg's law for the DFT cell and can differ from measured ones.

Main lines, sorted by position (2θ = 15–90°):
- d = 3.166 Å, I = 100
- d = 3.051 Å, I = 88
- d = 3.002 Å, I = 84
- d = 2.603 Å, I = 59
- d = 2.197 Å, I = 71
- d = 2.179 Å, I = 70
- d = 2.011 Å, I = 56
- d = 1.604 Å, I = 25
- d = 1.583 Å, I = 26
- d = 1.401 Å, I = 35

Cell lengths 16.1203, 6.3324, 7.4400 Å; angles 90.00, 104.32, 90.00 degrees
Space group C2/m (No. 12)
One atom of each set of equivalent atoms:
Sm 0.0000 0.0000 0.0000
Sm 0.1598 0.5000 0.3144
Sm 0.1699 0.5000 0.8197
Tm 0.0000 0.0000 0.5000
Pb 0.0000 0.5000 0.5000
Pb 0.1645 0.0000 0.8399
Pb 0.1656 0.0000 0.3553